# 1
Starting from the PBE geometry in Alexandria, the PXRD pattern of Li2PdBr4 was simulated for λ = 1.5418 Å (Cu Kα).
Peak positions follow from Bragg's law for the DFT cell and can differ from measured ones.

Structure:
```
data_Li2PdBr4
_cell_length_a 5.256
_cell_length_b 5.256
_cell_length_c 13.467
_cell_angle_alpha 90.00
_cell_angle_beta 90.00
_cell_angle_gamma 90.00
_space_group_name_H-M_alt 'I 4/m m m'
_space_group_IT_number 139
_space_group_name_Hall '-I 4 2'
loop_
_atom_site_label
_atom_site_type_symbol
_atom_site_fract_x
_atom_site_fract_y
_atom_site_fract_z
Li1 Li 0.000 0.000 0.127
Pd1 Pd 0.000 0.000 0.500
Br1 Br 0.000 0.000 0.312
Br2 Br 0.000 0.500 0.000
```

Principal peaks in the range 2θ = 15–90°, by angle:
(1 0 1), d = 4.896 Å, 2θ = 18.1°, I = 100.0
(0 0 4), d = 3.367 Å, 2θ = 26.5°, I = 26.5
(1 1 2), d = 3.254 Å, 2θ = 27.4°, I = 41.4
(2 0 0), d = 2.628 Å, 2θ = 34.1°, I = 76.1
(1 0 5), d = 2.397 Å, 2θ = 37.5°, I = 42.2
(2 1 1), d = 2.315 Å, 2θ = 38.9°, I = 28.1
(2 0 4), d = 2.072 Å, 2θ = 43.7°, I = 26.7
(2 2 0), d = 1.858 Å, 2θ = 49.0°, I = 26.7
(2 1 5), d = 1.771 Å, 2θ = 51.6°, I = 33.0
(2 0 6), d = 1.707 Å, 2θ = 53.7°, I = 30.0

# 2
Starting from the PBE geometry in Alexandria, the PXRD pattern of LiPdBr4 was simulated for λ = 1.5418 Å (Cu Kα).
Peak positions follow from Bragg's law for the DFT cell and can differ from measured ones.

Structure:
```
data_LiPdBr4
_cell_length_a 16.625
_cell_length_b 3.892
_cell_length_c 13.162
_cell_angle_alpha 90.00
_cell_angle_beta 128.99
_cell_angle_gamma 90.00
_space_group_name_H-M_alt 'C 1 2/c 1'
_space_group_IT_number 15
loop_
_space_group_symop_operation_xyz
'x,y,z'
'-x,-y,-z'
'-x,y,-z+1/2'
'x,-y,z+1/2'
'x+1/2,y+1/2,z'
'-x+1/2,-y+1/2,-z'
'-x+1/2,y+1/2,-z+1/2'
'x+1/2,-y+1/2,z+1/2'
loop_
_atom_site_label
_atom_site_type_symbol
_atom_site_fract_x
_atom_site_fract_y
_atom_site_fract_z
Li1 Li 0.000 0.238 0.250
Pd1 Pd 0.250 0.250 0.000
Br1 Br 0.072 0.257 0.934
Br2 Br 0.195 0.210 0.331
```

Principal peaks in the range 2θ = 15–90°, by angle:
(0 0 2), d = 5.115 Å, 2θ = 17.3°, I = 20.8
(4 0 -4), d = 3.223 Å, 2θ = 27.7°, I = 20.8
(3 1 -1), d = 3.151 Å, 2θ = 28.3°, I = 52.1
(1 1 -3), d = 2.779 Å, 2θ = 32.2°, I = 100.0
(6 0 -2), d = 2.676 Å, 2θ = 33.5°, I = 45.9
(3 1 -5), d = 2.152 Å, 2θ = 42.0°, I = 18.1
(0 2 0), d = 1.947 Å, 2θ = 46.7°, I = 21.9
(7 1 -5), d = 1.942 Å, 2θ = 46.8°, I = 31.3
(5 1 1), d = 1.914 Å, 2θ = 47.5°, I = 32.6
(6 2 -2), d = 1.574 Å, 2θ = 58.6°, I = 19.7